Record 1
For Cs3AuS8, a PBE-relaxed structure gives the calculated powder X-ray diffraction pattern in this record (a wavelength of 1.5418 Å).
Intensities are scaled so that the largest is 100.

Crystal structure
```
data_Cs3AuS8
_cell_length_a 13.464
_cell_length_b 13.474
_cell_length_c 9.423
_cell_angle_alpha 90.00
_cell_angle_beta 90.00
_cell_angle_gamma 90.00
_symmetry_space_group_name_H-M 'F m m 2'
_symmetry_Int_Tables_number 42
_symmetry_space_group_name_Hall 'F 2 -2'
loop_
_atom_site_label
_atom_site_type_symbol
_atom_site_fract_x
_atom_site_fract_y
_atom_site_fract_z
Cs1 Cs 0.000 0.000 0.000
Cs2 Cs 0.250 0.250 0.249
Au1 Au 0.000 0.000 0.499
S1 S 0.000 0.179 0.483
S2 S 0.000 0.215 0.274
S3 S 0.179 0.000 0.515
S4 S 0.216 0.000 0.724
```

Peak list (10 most intense, 2θ from 10° to 80°, sorted by position)
d/Å, I (rel.), hkl
6.706, 21, 1 1 1
4.762, 29, 2 2 0
3.860, 100, 2 0 2
3.367, 55, 4 0 0
2.539, 32, 2 4 2
2.537, 27, 4 2 2
2.381, 15, 4 4 0
2.027, 20, 6 0 2
1.930, 20, 4 0 4
1.736, 21, 6 4 2

Record 2
For Ac5NdMg6, a PBE-relaxed structure gives the calculated powder X-ray diffraction pattern in this record (a wavelength of 1.5418 Å).
Intensities are scaled so that the largest is 100.

Crystal structure
```
data_Ac5NdMg6
_cell_length_a 5.768
_cell_length_b 17.308
_cell_length_c 8.159
_cell_angle_alpha 90.00
_cell_angle_beta 90.00
_cell_angle_gamma 90.00
_symmetry_space_group_name_H-M 'C m m m'
_symmetry_Int_Tables_number 65
_symmetry_space_group_name_Hall '-C 2 2'
loop_
_atom_site_label
_atom_site_type_symbol
_atom_site_fract_x
_atom_site_fract_y
_atom_site_fract_z
Ac1 Ac 0.000 0.000 0.000
Ac2 Ac 0.000 0.332 0.000
Ac3 Ac 0.000 0.333 0.500
Nd1 Nd 0.000 0.000 0.500
Mg1 Mg 0.000 0.162 0.256
Mg2 Mg 0.000 0.500 0.260
```

Peak list (10 most intense, 2θ from 10° to 80°, sorted by position)
d/Å, I (rel.), hkl
4.079, 71, 1 3 0
2.884, 100, 2 0 0
2.355, 23, 2 0 2
2.040, 19, 2 6 0
1.824, 33, 1 3 4
1.665, 40, 3 3 2
1.442, 12, 4 0 0
1.360, 16, 0 0 6
1.290, 17, 4 6 0
1.230, 10, 2 0 6